Entry 1:
The following is a calculated PXRD pattern of K3TaO2F7. It was derived from a PBE-relaxed structure, using Cu Kα (λ = 1.5418 Å).

Principal peaks in the range 2θ = 5–70°, most intense first:
h k l, 2θ (°), Rel. int.
1 1 1, 16.60, 100
1 2 2, 25.70, 68
0 3 1, 21.07, 52
1 7 1, 47.78, 29
2 0 0, 24.55, 24
1 2 0, 17.54, 24
0 0 2, 18.64, 22
1 4 0, 28.13, 21
0 2 2, 22.53, 20
2 0 4, 45.57, 19
0 1 1, 11.21, 18
3 2 2, 43.93, 16

Cell and atoms:
```
data_K3TaO2F7
_chemical_formula_sum 'K12 Ta4 O8 F28'
_space_group_name_H-M_alt 'P n a 21'
_space_group_IT_number 33
_cell_length_a 7.252
_cell_length_b 14.109
_cell_length_c 9.521
_cell_angle_alpha 90.00
_cell_angle_beta 90.00
_cell_angle_gamma 90.00
loop_
_space_group_symop_operation_xyz
'x,y,z'
'-x,-y,z+1/2'
'-x+1/2,y+1/2,z+1/2'
'x+1/2,-y+1/2,z'
loop_
_atom_site_label
_atom_site_fract_x
_atom_site_fract_y
_atom_site_fract_z
K1 0.216 0.153 0.000
K2 0.227 0.158 0.474
K3 0.238 0.844 0.236
Ta1 0.215 0.929 0.736
O1 0.006 0.448 0.298
O2 0.015 0.446 0.154
F1 0.005 0.739 0.087
F2 0.011 0.281 0.908
F3 0.051 0.087 0.244
F4 0.162 0.929 0.534
F5 0.183 0.936 0.940
F6 0.193 0.066 0.733
F7 0.242 0.294 0.243
```

Entry 2:
The following is a calculated PXRD pattern of K2Ta2O3F6. It was derived from a PBE-relaxed structure, using Cu Kα (λ = 1.5418 Å).

Principal peaks in the range 2θ = 5–70°, most intense first:
h k l, 2θ (°), Rel. int.
1 1 3, 25.41, 100
1 0 1, 10.38, 58
3 1 1, 30.75, 46
1 1 1, 18.77, 44
2 2 4, 43.78, 42
2 1 1, 23.93, 41
2 0 2, 20.85, 38
1 1 2, 21.49, 37
0 2 0, 31.48, 36
2 0 4, 29.64, 35
0 1 1, 16.71, 34
0 0 2, 11.98, 21

Cell and atoms:
```
data_K2Ta2O3F6
_chemical_formula_sum 'K8 Ta8 O12 F24'
_space_group_name_H-M_alt 'P n m a'
_space_group_IT_number 62
_cell_length_a 10.429
_cell_length_b 5.684
_cell_length_c 14.773
_cell_angle_alpha 90.00
_cell_angle_beta 90.00
_cell_angle_gamma 90.00
loop_
_space_group_symop_operation_xyz
'x,y,z'
'-x,-y,-z'
'-x+1/2,-y,z+1/2'
'x+1/2,y,-z+1/2'
'x+1/2,-y+1/2,-z+1/2'
'-x+1/2,y+1/2,z+1/2'
'-x,y+1/2,-z'
'x,-y+1/2,z'
loop_
_atom_site_label
_atom_site_fract_x
_atom_site_fract_y
_atom_site_fract_z
K1 0.057 0.250 0.101
K2 0.243 0.750 0.291
Ta1 0.066 0.750 0.647
Ta2 0.217 0.250 0.508
O1 0.103 0.250 0.406
O2 0.133 0.501 0.572
F1 0.013 0.515 0.740
F2 0.148 0.750 0.105
F3 0.167 0.516 0.948
F4 0.233 0.750 0.715
```

Entry 3:
The following is a calculated PXRD pattern of KTe3O6F. It was derived from a PBE-relaxed structure, using Cu Kα (λ = 1.5418 Å).

Principal peaks in the range 2θ = 5–70°, most intense first:
h k l, 2θ (°), Rel. int.
2 -1 3, 26.34, 100
2 1 1, 29.01, 89
0 0 3, 18.66, 86
3 -2 2, 31.02, 66
1 1 6, 42.40, 47
4 0 4, 50.73, 38
5 -3 2, 49.31, 32
1 1 0, 18.43, 32
3 0 0, 32.20, 27
1 0 4, 27.19, 18
1 3 4, 46.81, 16
5 -2 1, 47.97, 16

Cell and atoms:
```
data_KTe3O6F
_chemical_formula_sum 'K6 Te18 O36 F6'
_space_group_name_H-M_alt 'R -3'
_space_group_IT_number 148
_space_group_name_Hall '-R 3'
_cell_length_a 9.6304
_cell_length_b 9.6304
_cell_length_c 14.2662
_cell_angle_alpha 90.00
_cell_angle_beta 90.00
_cell_angle_gamma 120.00
loop_
_atom_site_label
_atom_site_fract_x
_atom_site_fract_y
_atom_site_fract_z
K1 0.0000 0.0000 0.1528
Te1 0.0168 0.2649 0.6304
O1 0.0347 0.4748 0.6223
O2 0.0366 0.5698 0.9189
F1 0.0000 0.0000 0.3497
```

Entry 4:
The following is a calculated PXRD pattern of K2TeOF4. It was derived from a PBE-relaxed structure, using Cu Kα (λ = 1.5418 Å).

Principal peaks in the range 2θ = 5–70°, most intense first:
h k l, 2θ (°), Rel. int.
1 3 1, 26.79, 100
2 0 2, 38.74, 51
0 2 1, 18.12, 48
1 1 1, 20.08, 37
1 1 0, 15.09, 26
0 4 0, 24.92, 21
1 3 3, 46.99, 19
0 0 2, 26.52, 19
3 3 1, 48.45, 18
2 0 0, 27.71, 15
2 6 2, 55.21, 14
2 4 2, 46.61, 14

Cell and atoms:
```
data_K2TeOF4
_chemical_formula_sum 'K8 Te4 O4 F16'
_space_group_name_H-M_alt 'C m c m'
_space_group_IT_number 63
_space_group_name_Hall '-C 2c 2'
_cell_length_a 6.438
_cell_length_b 14.295
_cell_length_c 6.721
_cell_angle_alpha 90.00
_cell_angle_beta 90.00
_cell_angle_gamma 90.00
loop_
_atom_site_label
_atom_site_fract_x
_atom_site_fract_y
_atom_site_fract_z
K1 0.000 0.073 0.250
K2 0.000 0.250 0.750
Te1 0.000 0.390 0.250
O1 0.000 0.263 0.250
F1 0.235 0.388 0.033
```

Entry 5:
The following is a calculated PXRD pattern of KTeO2F. It was derived from a PBE-relaxed structure, using Cu Kα (λ = 1.5418 Å).

Principal peaks in the range 2θ = 5–70°, most intense first:
h k l, 2θ (°), Rel. int.
1 4 -1, 27.28, 100
2 0 -2, 28.21, 68
1 1 1, 20.42, 61
1 2 -4, 29.59, 43
0 2 3, 25.02, 33
1 1 2, 26.02, 31
1 2 2, 27.95, 24
0 2 1, 13.73, 23
0 1 1, 9.34, 23
0 6 3, 42.02, 22
0 0 2, 14.68, 22
0 2 0, 11.59, 20

Cell and atoms:
```
data_KTeO2F
_chemical_formula_sum 'K12 Te12 O24 F12'
_space_group_name_H-M_alt 'P 1 21/c 1'
_space_group_IT_number 14
_cell_length_a 6.350
_cell_length_b 15.268
_cell_length_c 13.244
_cell_angle_alpha 90.00
_cell_angle_beta 114.34
_cell_angle_gamma 90.00
loop_
_space_group_symop_operation_xyz
'x,y,z'
'-x,-y,-z'
'-x,y+1/2,-z+1/2'
'x,-y+1/2,z+1/2'
loop_
_atom_site_label
_atom_site_fract_x
_atom_site_fract_y
_atom_site_fract_z
K1 0.159 0.185 0.368
K2 0.207 0.685 0.485
K3 0.337 0.071 0.101
Te1 0.082 0.051 0.782
Te2 0.319 0.538 0.093
Te3 0.427 0.184 0.697
O1 0.161 0.524 0.401
O2 0.178 0.245 0.178
O3 0.183 0.549 0.199
O4 0.266 0.098 0.582
O5 0.369 0.031 0.316
O6 0.384 0.106 0.820
F1 0.016 0.148 0.883
F2 0.340 0.677 0.111
F3 0.469 0.242 0.069
```

Entry 6:
The following is a calculated PXRD pattern of KTeOF3. It was derived from a PBE-relaxed structure, using Cu Kα (λ = 1.5418 Å).

Principal peaks in the range 2θ = 5–70°, most intense first:
h k l, 2θ (°), Rel. int.
1 1 1, 16.41, 100
2 2 1, 26.85, 83
3 1 0, 27.35, 58
0 0 2, 22.10, 36
3 1 1, 29.54, 35
3 3 2, 43.50, 34
1 5 1, 46.29, 31
2 0 2, 28.14, 28
1 2 1, 22.22, 25
2 1 3, 38.85, 18
4 2 1, 40.70, 18
2 2 3, 41.82, 17

Cell and atoms:
```
data_KTeOF3
_chemical_formula_sum 'K8 Te8 O8 F24'
_space_group_name_H-M_alt 'P 42/n'
_space_group_IT_number 86
_cell_length_a 10.313
_cell_length_b 10.313
_cell_length_c 8.043
_cell_angle_alpha 90.00
_cell_angle_beta 90.00
_cell_angle_gamma 90.00
loop_
_space_group_symop_operation_xyz
'x,y,z'
'-x,-y,-z'
'-y,x+1/2,z+1/2'
'y,-x+1/2,-z+1/2'
'-x+1/2,-y+1/2,z'
'x+1/2,y+1/2,-z'
'y+1/2,-x,z+1/2'
'-y+1/2,x,-z+1/2'
loop_
_atom_site_label
_atom_site_fract_x
_atom_site_fract_y
_atom_site_fract_z
K1 0.000 0.000 0.000
K2 0.250 0.250 0.250
K3 0.250 0.250 0.750
Te1 0.093 0.883 0.460
O1 0.004 0.472 0.849
F1 0.011 0.264 0.103
F2 0.065 0.245 0.513
F3 0.110 0.812 0.224
```

Entry 7:
The following is a calculated PXRD pattern of KTeOF3. It was derived from a PBE-relaxed structure, using Cu Kα (λ = 1.5418 Å).

Principal peaks in the range 2θ = 5–70°, most intense first:
h k l, 2θ (°), Rel. int.
1 1 0, 22.81, 100
0 1 1, 18.94, 70
0 0 2, 23.00, 62
1 0 -1, 17.31, 44
1 1 1, 27.94, 38
0 2 0, 30.36, 36
1 1 -2, 28.44, 31
1 0 2, 32.90, 24
1 3 0, 49.63, 24
1 3 -2, 52.73, 21
2 1 -3, 43.76, 19
1 0 0, 17.04, 16

Cell and atoms:
```
data_KTeOF3
_chemical_formula_sum 'K2 Te2 O2 F6'
_space_group_name_H-M_alt 'P 1 21 1'
_space_group_IT_number 4
_cell_length_a 5.479
_cell_length_b 5.888
_cell_length_c 8.145
_cell_angle_alpha 90.00
_cell_angle_beta 108.24
_cell_angle_gamma 90.00
loop_
_space_group_symop_operation_xyz
'x,y,z'
'-x,y+1/2,-z'
loop_
_atom_site_label
_atom_site_fract_x
_atom_site_fract_y
_atom_site_fract_z
K1 0.177 0.000 0.309
Te1 0.359 0.019 0.794
O1 0.087 0.114 0.616
F1 0.156 0.053 0.963
F2 0.292 0.695 0.815
F3 0.460 0.395 0.373
```

Entry 8:
The following is a calculated PXRD pattern of K2TiO2F4. It was derived from a PBE-relaxed structure, using Cu Kα (λ = 1.5418 Å).

Principal peaks in the range 2θ = 5–70°, most intense first:
h k l, 2θ (°), Rel. int.
1 1 0, 14.47, 100
2 2 2, 37.75, 74
4 0 0, 38.15, 45
1 1 2, 27.64, 43
2 0 2, 30.21, 41
0 2 2, 32.43, 33
0 0 4, 47.90, 30
2 2 0, 29.18, 28
0 4 0, 45.10, 28
4 4 0, 60.52, 18
4 0 4, 62.82, 16
3 1 1, 32.77, 14

Cell and atoms:
```
data_K2TiO2F4
_chemical_formula_sum 'K8 Ti4 O8 F16'
_space_group_name_H-M_alt 'C m c m'
_space_group_IT_number 63
_space_group_name_Hall '-C 2c 2'
_cell_length_a 9.436
_cell_length_b 8.041
_cell_length_c 7.596
_cell_angle_alpha 90.00
_cell_angle_beta 90.00
_cell_angle_gamma 90.00
loop_
_atom_site_label
_atom_site_fract_x
_atom_site_fract_y
_atom_site_fract_z
K1 0.223 0.224 0.250
Ti1 0.000 0.500 0.000
O1 0.000 0.057 0.750
O2 0.000 0.490 0.250
F1 0.000 0.258 0.506
F2 0.205 0.500 0.000
```